Simulated PXRD pattern of HfCo for a wavelength of 1.5418 Å, from a DFT-relaxed cell (PBE, the Materials Project).
Intensities are scaled so that the largest is 100.

Most intense lines, 2θ = 10–90°, sorted by position:
d [Å]  2θ/deg  I (rel.)
3.150  28.3  29
2.227  40.5  100
1.819  50.2  9
1.575  58.6  17
1.409  66.4  12
1.286  73.7  33
1.114  87.6  11

Atomic structure:
Cell: 3.1501 3.1501 3.1501 Å, 90.00 90.00 90.00°
Positions (direct):
Hf1 0.0000 0.0000 0.0000
Co1 0.5000 0.5000 0.5000